Record 1
TaZn2BiO6: theoretical XRD peak list (CuKα), based on DFT lattice parameters and positions (PBE).
Kinematic intensities with the Lorentz-polarization factor, no thermal factor.

Principal peaks in the range 2θ = 15–90°, low angle first:
two_theta	d (Å)	I_rel	h k l
21.9	4.053	29.5	0 2 0
22.0	4.033	26.7	1 0 -1
23.2	3.833	25.4	1 0 1
31.3	2.859	100.0	1 2 -1
32.0	2.799	46.7	0 0 2
32.1	2.785	93.1	1 2 1
32.5	2.758	46.4	2 0 0
44.7	2.027	22.5	0 4 0
56.0	1.641	46.4	1 2 -3
56.3	1.633	21.9	2 4 0

Lattice parameters (Å, degrees): 5.5236 8.1064 5.6049 90.00 92.90 90.00
Space group P2_1/m (No. 11)
Symmetry-distinct sites (fractional):
1 Ta 0.0000 0.0000 0.0000
2 Zn 0.0194 0.2500 0.5158
3 Zn 0.4821 0.7500 0.0253
4 Bi 0.5000 0.0000 0.5000
5 O 0.0980 0.7500 0.1266
6 O 0.1342 0.5722 0.6937
7 O 0.3190 0.0737 0.1241
8 O 0.3701 0.2500 0.6365

***

Record 2
Tb2Bi2O7: theoretical XRD peak list (CuKα), based on DFT lattice parameters and positions (PBE).
Kinematic intensities with the Lorentz-polarization factor, no thermal factor.

Principal peaks in the range 2θ = 15–90°, low angle first:
two_theta	d (Å)	I_rel	h k l
27.2	3.283	100.0	0 2 1
27.9	3.201	43.7	2 0 -1
30.3	2.954	40.3	2 0 1
32.3	2.773	48.0	2 2 0
33.2	2.695	20.7	0 0 2
43.7	2.069	15.9	0 4 0
45.4	1.997	30.1	2 2 -2
48.6	1.874	24.9	2 2 2
52.7	1.738	15.2	2 4 -1
55.3	1.661	14.4	4 2 -1

Lattice parameters (Å, degrees): 7.4974 8.2774 5.4104 90.00 94.92 90.00
Space group Cm (No. 8)
Symmetry-distinct sites (fractional):
1 Tb 0.0000 0.2331 0.0000
2 Bi 0.2619 0.0000 0.4651
3 Bi 0.2734 0.5000 0.5006
4 O 0.0189 0.0000 0.7492
5 O 0.0579 0.5000 0.2263
6 O 0.2089 0.3069 0.7253
7 O 0.2652 0.2004 0.2121
8 O 0.4806 0.5000 0.2501